Simulated powder X-ray diffraction pattern of RbAl6H20N5F24 for Cu Ka, from the PBE geometry in the Materials Project.

Atomic structure:
abc: 5.337 5.357 18.715
angles: 89.43 88.87 89.25
Atoms (fractional coordinates):
Rb  0.000  0.000  0.000
Al  0.059  0.538  0.850
Al  0.238  0.347  0.527
Al  0.393  0.116  0.182
Al  0.556  0.006  0.838
Al  0.748  0.854  0.517
Al  0.890  0.605  0.175
H  0.043  0.217  0.301
H  0.043  0.425  0.412
H  0.043  0.506  0.768
H  0.087  0.941  0.649
H  0.112  0.153  0.768
H  0.208  0.647  0.655
H  0.291  0.832  0.588
H  0.393  0.896  0.669
H  0.398  0.415  0.964
H  0.401  0.767  0.370
H  0.473  0.056  0.029
H  0.511  0.699  0.976
H  0.535  0.486  0.043
H  0.713  0.463  0.968
H  0.721  0.571  0.684
H  0.723  0.192  0.301
H  0.736  0.453  0.398
H  0.748  0.343  0.423
H  0.888  0.007  0.357
H  0.910  0.959  0.270
N  0.244  0.830  0.641
N  0.373  0.680  0.322
N  0.538  0.512  0.988
N  0.679  0.382  0.683
N  0.892  0.100  0.307
F  0.021  0.008  0.756
F  0.048  0.490  0.944
F  0.142  0.356  0.172
F  0.145  0.871  0.174
F  0.210  0.337  0.618
F  0.212  0.359  0.419
F  0.307  0.246  0.850
F  0.309  0.772  0.865
F  0.391  0.139  0.274
F  0.401  0.127  0.082
F  0.480  0.106  0.514
F  0.481  0.593  0.517
F  0.513  0.005  0.971
F  0.539  0.936  0.751
F  0.638  0.871  0.174
F  0.641  0.360  0.171
F  0.742  0.855  0.607
F  0.756  0.855  0.424
F  0.766  0.241  0.863
F  0.788  0.768  0.866
F  0.883  0.606  0.267
F  0.891  0.613  0.082
F  0.996  0.104  0.514
F  0.997  0.597  0.515

Main lines, by intensity (5 to 70 degrees two-theta):
2θ 14.2, 6.237 Å, intensity 100; 2θ 25.6, 3.477 Å, intensity 62; 2θ 47.8, 1.902 Å, intensity 53; 2θ 9.5, 9.355 Å, intensity 50; 2θ 33.9, 2.647 Å, intensity 49; 2θ 28.6, 3.118 Å, intensity 45; 2θ 24.1, 3.686 Å, intensity 42; 2θ 27.7, 3.219 Å, intensity 40

Simulated powder X-ray diffraction pattern of Si5C3 for Cu Ka, from the PBE geometry in the Materials Project.

Atomic structure:
abc: 5.595 5.595 5.595
angles: 97.30 97.30 97.30
Atoms (fractional coordinates):
Si  0.000  0.000  0.000
Si  0.178  0.459  0.972
Si  0.336  0.336  0.336
Si  0.459  0.972  0.178
Si  0.972  0.178  0.459
C  0.219  0.779  0.974
C  0.779  0.974  0.219
C  0.974  0.219  0.779

Main lines, by intensity (5 to 70 degrees two-theta):
2θ 16.1, 5.490 Å, intensity 100; 2θ 21.2, 4.200 Å, intensity 65; 2θ 38.8, 2.324 Å, intensity 31; 2θ 34.3, 2.612 Å, intensity 28; 2θ 39.2, 2.298 Å, intensity 16; 2θ 58.1, 1.588 Å, intensity 15; 2θ 37.1, 2.425 Å, intensity 14; 2θ 51.4, 1.777 Å, intensity 11

Simulated powder X-ray diffraction pattern of BaTbEuSbO6 for Cu Ka, from the PBE geometry in the Materials Project.

Atomic structure:
abc: 8.441 8.445 8.474
angles: 90.00 90.00 90.00
Atoms (fractional coordinates):
Ba  0.250  0.250  0.250
Ba  0.250  0.750  0.250
Ba  0.750  0.250  0.750
Ba  0.750  0.750  0.750
Tb  0.000  0.000  0.000
Tb  0.000  0.500  0.500
Tb  0.500  0.000  0.500
Tb  0.500  0.500  0.000
Eu  0.250  0.250  0.750
Eu  0.250  0.750  0.750
Eu  0.750  0.250  0.250
Eu  0.750  0.750  0.250
Sb  0.000  0.000  0.500
Sb  0.000  0.500  0.000
Sb  0.500  0.000  0.000
Sb  0.500  0.500  0.500
O  0.029  0.033  0.735
O  0.029  0.467  0.765
O  0.032  0.735  0.969
O  0.032  0.765  0.531
O  0.236  0.025  0.476
O  0.236  0.475  0.024
O  0.264  0.025  0.024
O  0.264  0.475  0.476
O  0.468  0.735  0.531
O  0.468  0.765  0.969
O  0.471  0.033  0.765
O  0.471  0.467  0.735
O  0.529  0.533  0.265
O  0.529  0.967  0.235
O  0.532  0.235  0.031
O  0.532  0.265  0.469
O  0.736  0.525  0.524
O  0.736  0.975  0.976
O  0.764  0.525  0.976
O  0.764  0.975  0.524
O  0.968  0.235  0.469
O  0.968  0.265  0.031
O  0.971  0.533  0.235
O  0.971  0.967  0.265

Main lines, by intensity (5 to 70 degrees two-theta):
2θ 29.9, 2.989 Å, intensity 100; 2θ 53.1, 1.726 Å, intensity 28; 2θ 42.8, 2.111 Å, intensity 18; 2θ 53.1, 1.724 Å, intensity 14; 2θ 62.1, 1.495 Å, intensity 11; 2θ 42.7, 2.118 Å, intensity 9; 2θ 62.2, 1.493 Å, intensity 5; 2θ 36.8, 2.440 Å, intensity 1

Simulated powder X-ray diffraction pattern of LiBO4 for Cu Ka, from the PBE geometry in the Materials Project.

Atomic structure:
abc: 7.933 9.478 8.007
angles: 90.00 90.00 90.00
Atoms (fractional coordinates):
Li  0.128  0.203  0.109
Li  0.128  0.297  0.609
Li  0.372  0.703  0.109
Li  0.372  0.797  0.609
Li  0.628  0.203  0.391
Li  0.628  0.297  0.891
Li  0.872  0.703  0.391
Li  0.872  0.797  0.891
B  0.155  0.569  0.842
B  0.155  0.931  0.342
B  0.345  0.069  0.842
B  0.345  0.431  0.342
B  0.655  0.569  0.658
B  0.655  0.931  0.158
B  0.845  0.069  0.658
B  0.845  0.431  0.158
O  0.046  0.654  0.942
O  0.046  0.846  0.442
O  0.099  0.068  0.296
O  0.099  0.432  0.796
O  0.183  0.068  0.924
O  0.183  0.432  0.424
O  0.200  0.655  0.699
O  0.200  0.845  0.199
O  0.300  0.155  0.699
O  0.300  0.345  0.199
O  0.317  0.568  0.924
O  0.317  0.932  0.424
O  0.401  0.568  0.296
O  0.401  0.932  0.796
O  0.454  0.154  0.942
O  0.454  0.346  0.442
O  0.546  0.654  0.558
O  0.546  0.846  0.058
O  0.599  0.068  0.204
O  0.599  0.432  0.704
O  0.683  0.068  0.576
O  0.683  0.432  0.076
O  0.700  0.655  0.801
O  0.700  0.845  0.301
O  0.800  0.155  0.801
O  0.800  0.345  0.301
O  0.817  0.568  0.576
O  0.817  0.932  0.076
O  0.901  0.568  0.204
O  0.901  0.932  0.704
O  0.954  0.154  0.558
O  0.954  0.346  0.058

Main lines, by intensity (5 to 70 degrees two-theta):
2θ 26.8, 3.328 Å, intensity 100; 2θ 21.8, 4.078 Å, intensity 55; 2θ 31.3, 2.853 Å, intensity 54; 2θ 24.5, 3.627 Å, intensity 37; 2θ 31.5, 2.843 Å, intensity 34; 2θ 37.1, 2.425 Å, intensity 33; 2θ 18.3, 4.844 Å, intensity 29; 2θ 24.9, 3.574 Å, intensity 25

Simulated powder X-ray diffraction pattern of Zr6Ga16Pd7 for Cu Ka, from the PBE geometry in the Materials Project.

Atomic structure:
abc: 8.865 8.865 8.865
angles: 60.00 60.00 60.00
Atoms (fractional coordinates):
Zr  0.192  0.192  0.808
Zr  0.192  0.808  0.192
Zr  0.192  0.808  0.808
Zr  0.808  0.192  0.192
Zr  0.808  0.192  0.808
Zr  0.808  0.808  0.192
Ga  0.136  0.621  0.621
Ga  0.160  0.160  0.160
Ga  0.160  0.160  0.519
Ga  0.160  0.519  0.160
Ga  0.379  0.379  0.379
Ga  0.379  0.379  0.864
Ga  0.379  0.864  0.379
Ga  0.481  0.840  0.840
Ga  0.519  0.160  0.160
Ga  0.621  0.136  0.621
Ga  0.621  0.621  0.136
Ga  0.621  0.621  0.621
Ga  0.840  0.481  0.840
Ga  0.840  0.840  0.481
Ga  0.840  0.840  0.840
Ga  0.864  0.379  0.379
Pd  0.000  0.000  0.500
Pd  0.000  0.500  0.000
Pd  0.000  0.500  0.500
Pd  0.500  0.000  0.000
Pd  0.500  0.000  0.500
Pd  0.500  0.500  0.000
Pd  0.500  0.500  0.500

Main lines, by intensity (5 to 70 degrees two-theta):
2θ 40.7, 2.216 Å, intensity 100; 2θ 37.3, 2.413 Å, intensity 47; 2θ 48.1, 1.890 Å, intensity 18; 2θ 35.1, 2.559 Å, intensity 18; 2θ 43.3, 2.089 Å, intensity 14; 2θ 42.7, 2.119 Å, intensity 13; 2θ 62.9, 1.477 Å, intensity 12; 2θ 58.9, 1.567 Å, intensity 10